No. 1
Starting from a structure optimized by DFT (GGA-PBE), the X-ray diffraction stick pattern of NaPrReO6 was computed for Cu Kα X-rays.

Top 8 peaks for 10° ≤ 2θ ≤ 80°, by angle:
hkl, Position (°2θ), d (Å), Rel. int.
0 2 0, 18.19, 4.876, 47
1 1 0, 18.33, 4.841, 56
1 1 -1, 25.41, 3.506, 100
0 2 1, 25.63, 3.476, 80
1 1 1, 26.04, 3.422, 91
1 3 0, 31.87, 2.808, 57
0 4 1, 41.28, 2.187, 36
2 4 -1, 52.91, 1.731, 37

Cell and atoms:
```
data_NaPrReO6
_chemical_formula_sum 'Na2 Pr2 Re2 O12'
_cell_length_a 5.5790
_cell_length_b 9.7515
_cell_length_c 4.9588
_cell_angle_alpha 90.00
_cell_angle_beta 91.59
_cell_angle_gamma 90.00
_space_group_name_H-M_alt 'C 1 2 1'
_space_group_IT_number 5
loop_
_space_group_symop_operation_xyz
'x,y,z'
'-x,y,-z'
'x+1/2,y+1/2,z'
'-x+1/2,y+1/2,-z'
loop_
_atom_site_label
_atom_site_fract_x
_atom_site_fract_y
_atom_site_fract_z
Na1 0.0000 0.0000 0.0000
Pr1 0.0000 0.6759 0.5000
Re1 0.0000 0.3236 0.0000
O1 0.1074 0.4916 0.8096
O2 0.1436 0.2072 0.7666
O3 0.2177 0.8298 0.7834
```

No. 2
Starting from a structure optimized by DFT (GGA-PBE), the X-ray diffraction stick pattern of HoMgScTl was computed for Cu Kα X-rays.

Top 8 peaks for 10° ≤ 2θ ≤ 80°, by angle:
hkl, Position (°2θ), d (Å), Rel. int.
1 1 1, 20.99, 4.233, 54
2 2 0, 34.60, 2.592, 100
3 1 1, 40.82, 2.211, 30
4 0 0, 49.74, 1.833, 18
3 3 1, 54.56, 1.682, 13
4 2 2, 62.01, 1.497, 37
5 1 1, 66.24, 1.411, 10
4 4 0, 73.00, 1.296, 11

Cell and atoms:
```
data_HoMgScTl
_chemical_formula_sum 'Ho4 Mg4 Sc4 Tl4'
_cell_length_a 7.3316
_cell_length_b 7.3316
_cell_length_c 7.3316
_cell_angle_alpha 90.00
_cell_angle_beta 90.00
_cell_angle_gamma 90.00
_space_group_name_H-M_alt 'F -4 3 m'
_space_group_IT_number 216
_space_group_name_Hall 'F -4 2 3'
loop_
_atom_site_label
_atom_site_fract_x
_atom_site_fract_y
_atom_site_fract_z
Ho1 0.0000 0.0000 0.0000
Mg1 0.2500 0.2500 0.2500
Sc1 0.0000 0.0000 0.5000
Tl1 0.2500 0.2500 0.7500
```

No. 3
Starting from a structure optimized by DFT (GGA-PBE), the X-ray diffraction stick pattern of Ba6Bi2AsO was computed for Cu Kα X-rays.

Top 8 peaks for 10° ≤ 2θ ≤ 80°, by angle:
hkl, Position (°2θ), d (Å), Rel. int.
1 1 2, 26.05, 3.421, 100
2 0 0, 29.75, 3.003, 51
0 0 4, 30.98, 2.887, 20
2 2 0, 42.58, 2.123, 19
2 0 4, 43.49, 2.081, 31
3 1 2, 50.60, 1.804, 33
2 2 4, 53.58, 1.710, 17
4 2 4, 78.57, 1.218, 11

Cell and atoms:
```
data_Ba6Bi2AsO
_chemical_formula_sum 'Ba6 Bi2 As1 O1'
_cell_length_a 6.0056
_cell_length_b 6.0056
_cell_length_c 11.5469
_cell_angle_alpha 90.00
_cell_angle_beta 90.00
_cell_angle_gamma 90.00
_space_group_name_H-M_alt 'P 4/m m m'
_space_group_IT_number 123
_space_group_name_Hall '-P 4 2'
loop_
_atom_site_label
_atom_site_fract_x
_atom_site_fract_y
_atom_site_fract_z
Ba1 0.0000 0.0000 0.2263
Ba2 0.0000 0.5000 0.0000
Ba3 0.0000 0.5000 0.5000
Bi1 0.5000 0.5000 0.2297
As1 0.0000 0.0000 0.5000
O1 0.0000 0.0000 0.0000
```

No. 4
Starting from a structure optimized by DFT (GGA-PBE), the X-ray diffraction stick pattern of TiCr2 was computed for Cu Kα X-rays.

Top 8 peaks for 10° ≤ 2θ ≤ 80°, by angle:
hkl, Position (°2θ), d (Å), Rel. int.
1 1 1, 22.46, 3.959, 12
2 2 0, 37.08, 2.424, 24
3 1 1, 43.79, 2.068, 100
2 2 2, 45.84, 1.980, 44
4 0 0, 53.45, 1.714, 6
4 2 2, 66.84, 1.400, 7
5 1 1, 71.49, 1.320, 26
4 4 0, 78.98, 1.212, 23

Cell and atoms:
Lattice parameters (Å, degrees): 6.8572 6.8572 6.8572 90.00 90.00 90.00
Space group Fd-3m (No. 227, origin choice 2)
One atom of each set of equivalent atoms:
Ti: 0.1250 0.1250 0.1250 (multiplicity 8)
Cr: 0.0000 0.0000 0.5000 (multiplicity 16)

No. 5
Starting from a structure optimized by DFT (GGA-PBE), the X-ray diffraction stick pattern of CeSm2TmP4 was computed for Cu Kα X-rays.

Top 8 peaks for 10° ≤ 2θ ≤ 80°, by angle:
hkl, Position (°2θ), d (Å), Rel. int.
0 0 2, 26.90, 3.314, 83
1 1 1, 31.16, 2.870, 100
0 2 0, 44.65, 2.030, 73
1 1 3, 52.88, 1.731, 31
4 0 -2, 52.96, 1.729, 10
2 2 -2, 55.42, 1.658, 19
1 3 1, 73.78, 1.284, 22
4 2 0, 73.91, 1.282, 11

Cell and atoms:
```
data_CeSm2TmP4
_chemical_formula_sum 'Ce1 Sm2 Tm1 P4'
_cell_length_a 7.0174
_cell_length_b 4.0618
_cell_length_c 7.0363
_cell_angle_alpha 90.00
_cell_angle_beta 109.40
_cell_angle_gamma 90.00
_space_group_name_H-M_alt 'P 1 2/m 1'
_space_group_IT_number 10
loop_
_space_group_symop_operation_xyz
'x,y,z'
'-x,-y,-z'
'-x,y,-z'
'x,-y,z'
loop_
_atom_site_label
_atom_site_fract_x
_atom_site_fract_y
_atom_site_fract_z
Ce1 0.0000 0.0000 0.0000
Sm1 0.0000 0.5000 0.5000
Sm2 0.5000 0.0000 0.5000
Tm1 0.5000 0.5000 0.0000
P1 0.2503 0.5000 0.2436
P2 0.2545 0.0000 0.7588
```

No. 6
Starting from a structure optimized by DFT (GGA-PBE), the X-ray diffraction stick pattern of Tl6HgAs was computed for Cu Kα X-rays.

Top 8 peaks for 10° ≤ 2θ ≤ 80°, by angle:
hkl, Position (°2θ), d (Å), Rel. int.
1 2 2, 31.72, 2.821, 100
0 0 4, 32.33, 2.769, 23
0 4 0, 36.66, 2.452, 16
2 0 0, 40.95, 2.204, 14
0 4 4, 49.68, 1.835, 14
2 0 4, 53.11, 1.724, 12
1 2 6, 57.28, 1.608, 14
2 4 4, 66.27, 1.410, 12

Cell and atoms:
```
data_Tl6HgAs
_chemical_formula_sum 'Tl12 Hg2 As2'
_cell_length_a 4.4081
_cell_length_b 9.8086
_cell_length_c 11.0751
_cell_angle_alpha 90.00
_cell_angle_beta 90.00
_cell_angle_gamma 90.00
_space_group_name_H-M_alt 'A m m 2'
_space_group_IT_number 38
loop_
_space_group_symop_operation_xyz
'x,y,z'
'-x,-y,z'
'-x,y,z'
'x,-y,z'
'x,y+1/2,z+1/2'
'-x,-y+1/2,z+1/2'
'-x,y+1/2,z+1/2'
'x,-y+1/2,z+1/2'
loop_
_atom_site_label
_atom_site_fract_x
_atom_site_fract_y
_atom_site_fract_z
Tl1 0.0000 0.0000 0.0000
Tl2 0.0000 0.2058 0.2702
Tl3 0.5000 0.0000 0.7547
Tl4 0.5000 0.2407 0.5141
Hg1 0.0000 0.0000 0.5314
As1 0.5000 0.0000 0.2050
```